This entry pairs a crystal structure of LaOsN3 with its theoretical X-ray powder pattern. Radiation: a wavelength of 1.5418 Å. Structure: a cell relaxed with GGA-PBE.
Kinematic intensities with the Lorentz-polarization factor, no thermal factor.

Structure:
```
10
Lattice="3.837 0.000 0.000 0.000 4.767 0.000 -0.918 0.000 7.351" Properties=species:S:1:pos:R:3 pbc="T T T"
La 0.045 1.192 2.111
La 2.874 3.575 5.240
Os 1.025 1.192 6.660
Os 1.895 3.575 0.691
N -0.029 3.575 0.682
N 0.714 3.575 3.420
N 1.191 1.192 4.643
N 1.729 3.575 2.708
N 2.205 1.192 3.931
N 2.949 1.192 6.669
```

Most intense lines, 2θ from 15° to 90°, sorted by position:
| (hkl) | d_spacing | I (rel.) |
| --- | --- | --- |
| 1 0 1 | 3.222 | 56 |
| 0 1 2 | 2.911 | 100 |
| 1 1 -1 | 2.855 | 84 |
| 1 0 -2 | 2.825 | 45 |
| 1 1 1 | 2.669 | 83 |
| 0 2 0 | 2.383 | 74 |
| 0 1 3 | 2.179 | 86 |
| 2 0 -1 | 1.902 | 44 |